The following is a theoretical powder XRD pattern of AcTl2Ni3F12. It was derived from a cell relaxed with GGA+U, using CuKα.

Structure:
```
data_AcTl2Ni3F12
_chemical_formula_sum 'Ac3 Tl6 Ni9 F36'
_cell_length_a 7.5542
_cell_length_b 7.5542
_cell_length_c 15.9822
_cell_angle_alpha 90.00
_cell_angle_beta 90.00
_cell_angle_gamma 120.00
_symmetry_space_group_name_H-M 'R -3 m'
_symmetry_Int_Tables_number 166
_symmetry_space_group_name_Hall '-R 3 2"'
loop_
_atom_site_label
_atom_site_fract_x
_atom_site_fract_y
_atom_site_fract_z
Ac1 0.0000 0.0000 0.0000
Tl1 0.0000 0.0000 0.3911
Ni1 0.0000 0.5000 0.5000
F1 0.0565 0.5283 0.3765
F2 0.0877 0.5438 0.8017
```

Peak list (12 most intense, 2θ = 5–70°, in order of rising 2θ)
Position (°2θ)  Rel. int.  index
17.5  34  0 1 2
23.6  100  1 1 0
27.8  29  0 2 1
29.0  100  1 1 3
29.5  40  2 0 2
31.1  65  0 1 5
38.1  27  1 2 2
39.4  33  2 0 5
44.9  35  0 3 3
46.4  55  1 2 5
48.2  49  2 2 0
58.5  32  3 1 5